Starting from a DFT-relaxed cell (PBE+U, Alexandria), the powder XRD pattern of Pm2MnCdO6 was calculated for Cu Ka.
Kinematic intensities with the Lorentz-polarization factor, no thermal factor.

Crystal structure
abc: 5.5147 5.8819 9.6636
angles: 90.00 124.41 90.00
Atoms (fractional coordinates):
Pm 0.2262 0.0663 0.2468
Pm 0.2262 0.4337 0.7468
Pm 0.7738 0.5663 0.2532
Pm 0.7738 0.9337 0.7532
Mn 0.5000 0.0000 0.0000
Mn 0.5000 0.5000 0.5000
Cd 0.0000 0.0000 0.5000
Cd 0.0000 0.5000 0.0000
O 0.1600 0.1746 0.9470
O 0.1600 0.3254 0.4470
O 0.2607 0.7210 0.9291
O 0.2607 0.7790 0.4291
O 0.3928 0.0520 0.7730
O 0.3928 0.4480 0.2730
O 0.6072 0.5520 0.7270
O 0.6072 0.9480 0.2270
O 0.7393 0.2210 0.5709
O 0.7393 0.2790 0.0709
O 0.8400 0.6746 0.5530
O 0.8400 0.8254 0.0530

Peak list (10 most intense, 10 to 90 degrees two-theta, by intensity)
hkl, 2θ/deg, I/Imax
1 1 1, 31.52, 100
1 1 -3, 31.68, 99
2 0 -2, 32.47, 64
0 2 0, 30.39, 39
2 0 -6, 57.23, 38
2 2 -2, 45.07, 34
1 3 0, 50.73, 28
0 0 4, 45.51, 26
3 1 -5, 57.54, 24
0 2 4, 55.71, 17